[1]
MgFe8O8F8: theoretical X-ray powder pattern (Cu Kα (λ = 1.5418 Å)), based on a structure optimized by DFT (GGA+U).
Neutral-atom scattering factors, no anomalous dispersion.

Crystal structure
```
data_MgFe8O8F8
_cell_length_a 5.081
_cell_length_b 5.315
_cell_length_c 11.649
_cell_angle_alpha 89.54
_cell_angle_beta 89.66
_cell_angle_gamma 88.55
_symmetry_space_group_name_H-M 'P 1'
_symmetry_Int_Tables_number 1
_symmetry_space_group_name_Hall 'P 1'
loop_
_atom_site_label
_atom_site_type_symbol
_atom_site_fract_x
_atom_site_fract_y
_atom_site_fract_z
Mg1 Mg 0.000 0.000 0.000
Fe1 Fe 0.065 0.617 0.389
Fe2 Fe 0.429 0.089 0.507
Fe3 Fe 0.490 0.232 0.010
Fe4 Fe 0.549 0.972 0.758
Fe5 Fe 0.551 0.963 0.258
Fe6 Fe 0.907 0.454 0.625
Fe7 Fe 0.935 0.466 0.149
Fe8 Fe 0.951 0.501 0.872
O1 O 0.137 0.360 0.013
O2 O 0.162 0.372 0.503
O3 O 0.300 0.891 0.381
O4 O 0.650 0.194 0.627
O5 O 0.722 0.149 0.883
O6 O 0.738 0.167 0.141
O7 O 0.765 0.676 0.746
O8 O 0.803 0.687 0.266
F1 F 0.164 0.325 0.741
F2 F 0.227 0.405 0.257
F3 F 0.251 0.865 0.879
F4 F 0.286 0.911 0.128
F5 F 0.300 0.868 0.631
F6 F 0.680 0.184 0.382
F7 F 0.779 0.704 0.026
F8 F 0.791 0.712 0.506
```

Main lines, in order of rising 2θ (10 to 90 degrees two-theta):
hkl 1 1 0, 23.93 deg, I 99
hkl 1 -1 0, 24.55 deg, I 100
hkl 1 1 -2, 28.61 deg, I 18
hkl 1 -1 2, 29.01 deg, I 31
hkl 0 1 4, 35.02 deg, I 17
hkl 0 1 -4, 35.29 deg, I 20
hkl 1 0 4, 35.44 deg, I 22
hkl 1 0 -4, 35.62 deg, I 26
hkl 1 2 -1, 38.72 deg, I 17
hkl -1 1 4, 39.69 deg, I 39
hkl 2 -1 4, 50.98 deg, I 18
hkl 0 0 8, 63.93 deg, I 19



[2]
FeC6O6: theoretical X-ray powder pattern (Cu Kα (λ = 1.5418 Å)), based on a structure optimized by DFT (GGA+U).
Neutral-atom scattering factors, no anomalous dispersion.

Crystal structure
```
data_FeC6O6
_cell_length_a 5.065
_cell_length_b 11.104
_cell_length_c 9.961
_cell_angle_alpha 90.00
_cell_angle_beta 102.61
_cell_angle_gamma 90.00
_symmetry_space_group_name_H-M 'C 1 2/m 1'
_symmetry_Int_Tables_number 12
_symmetry_space_group_name_Hall '-C 2y'
loop_
_atom_site_label
_atom_site_type_symbol
_atom_site_fract_x
_atom_site_fract_y
_atom_site_fract_z
Fe1 Fe 0.000 0.000 0.000
C1 C 0.123 0.241 0.999
C2 C 0.172 0.500 0.346
O1 O 0.097 0.500 0.958
O2 O 0.174 0.394 0.347
```

Main lines, in order of rising 2θ (10 to 90 degrees two-theta):
hkl 0 2 0, 15.96 deg, I 60
hkl 0 0 2, 18.25 deg, I 66
hkl 1 1 1, 23.32 deg, I 73
hkl 1 1 -2, 24.08 deg, I 92
hkl 0 0 3, 27.53 deg, I 100
hkl 0 2 3, 31.98 deg, I 16
hkl 0 4 1, 33.57 deg, I 59
hkl 2 0 -1, 35.47 deg, I 23
hkl 0 4 2, 37.30 deg, I 35
hkl 2 2 -1, 39.11 deg, I 15
hkl 1 1 -5, 47.06 deg, I 16
hkl 0 4 4, 49.88 deg, I 18